(1)
Starting from a PBE-relaxed structure, the powder diffraction line list of MgHPd3 was calculated for Cu Kα (λ = 1.5418 Å).
Peak positions follow from Bragg's law for the DFT cell and can differ from measured ones.

The 10 most intense peaks (10 to 80 degrees two-theta), in order of rising 2θ:
| d [Å] | Rel. int. |
| --- | --- |
| 4.141 | 7 |
| 2.320 | 100 |
| 2.070 | 18 |
| 2.001 | 16 |
| 1.960 | 15 |
| 1.439 | 11 |
| 1.423 | 10 |
| 1.400 | 10 |
| 1.238 | 13 |
| 1.208 | 12 |

a = 5.5982 Å, b = 4.1410 Å, c = 5.6049 Å
α = 90.00°, β = 91.18°, γ = 90.00°
Element x y z (fractional)
Mg 0.0000 0.0000 0.0000
Mg 0.4941 0.0000 0.5052
H 0.9625 0.5000 0.0298
H 0.9987 0.5000 0.5107
Pd 0.2411 0.5000 0.2459
Pd 0.2559 0.5000 0.7493
Pd 0.4959 0.0000 0.0041
Pd 0.7342 0.5000 0.2604
Pd 0.7493 0.5000 0.7611
Pd 0.9957 0.0000 0.5037

***

(2)
Starting from a PBE-relaxed structure, the powder diffraction line list of MgHPd3 was calculated for Cu Kα (λ = 1.5418 Å).
Peak positions follow from Bragg's law for the DFT cell and can differ from measured ones.

The 10 most intense peaks (10 to 80 degrees two-theta), in order of rising 2θ:
| d [Å] | Rel. int. |
| --- | --- |
| 4.107 | 7 |
| 3.877 | 12 |
| 3.225 | 6 |
| 2.325 | 100 |
| 2.053 | 17 |
| 1.995 | 32 |
| 1.431 | 21 |
| 1.411 | 10 |
| 1.232 | 13 |
| 1.206 | 24 |

a = 3.9899 Å, b = 3.9899 Å, c = 8.6840 Å
α = 103.28°, β = 103.28°, γ = 89.99°
Element x y z (fractional)
Mg 0.0000 0.0000 0.0000
Mg 0.2386 0.2386 0.4786
H 0.3874 0.3874 0.7768
H 0.8504 0.8504 0.7019
Pd 0.1194 0.6195 0.2393
Pd 0.3694 0.8693 0.7394
Pd 0.4988 0.4988 0.9980
Pd 0.6195 0.1194 0.2393
Pd 0.7400 0.7400 0.4807
Pd 0.8693 0.3694 0.7394

***

(3)
Starting from a PBE-relaxed structure, the powder diffraction line list of MgH4Pd4 was calculated for Cu Kα (λ = 1.5418 Å).
Peak positions follow from Bragg's law for the DFT cell and can differ from measured ones.

The 10 most intense peaks (10 to 80 degrees two-theta), in order of rising 2θ:
| d [Å] | Rel. int. |
| --- | --- |
| 4.768 | 16 |
| 3.388 | 22 |
| 2.396 | 100 |
| 2.385 | 94 |
| 2.132 | 69 |
| 1.961 | 27 |
| 1.444 | 20 |
| 1.443 | 20 |
| 1.279 | 13 |
| 1.277 | 13 |

a = 5.1456 Å, b = 5.1456 Å, c = 6.7233 Å
α = 130.56°, β = 130.56°, γ = 44.80°
Element x y z (fractional)
Mg 0.0000 0.0000 0.0000
H 0.1471 0.1471 0.4710
H 0.3251 0.3251 0.1763
H 0.6749 0.6749 0.8237
H 0.8529 0.8529 0.5290
Pd 0.2025 0.2025 0.8053
Pd 0.3976 0.3976 0.6010
Pd 0.6024 0.6024 0.3990
Pd 0.7975 0.7975 0.1947

***

(4)
Starting from a PBE-relaxed structure, the powder diffraction line list of Pr2MgHPd6 was calculated for Cu Kα (λ = 1.5418 Å).
Peak positions follow from Bragg's law for the DFT cell and can differ from measured ones.

The 10 most intense peaks (10 to 80 degrees two-theta), in order of rising 2θ:
| d [Å] | Rel. int. |
| --- | --- |
| 6.208 | 14 |
| 3.104 | 47 |
| 2.993 | 27 |
| 2.631 | 19 |
| 2.429 | 98 |
| 2.423 | 49 |
| 2.351 | 31 |
| 2.212 | 100 |
| 1.604 | 14 |
| 1.450 | 23 |

a = 5.7994 Å, b = 5.8044 Å, c = 7.0463 Å
α = 65.76°, β = 65.89°, γ = 60.12°
Element x y z (fractional)
Pr 0.2305 0.2319 0.3089
Pr 0.7695 0.7681 0.6911
Mg 0.5000 0.5000 0.5000
H 0.0000 0.0000 0.0000
Pd 0.2266 0.7253 0.8193
Pd 0.2276 0.2257 0.8162
Pd 0.2715 0.7750 0.1827
Pd 0.7285 0.2250 0.8173
Pd 0.7724 0.7743 0.1838
Pd 0.7734 0.2747 0.1807

***

(5)
Starting from a PBE-relaxed structure, the powder diffraction line list of MgHPd2Rh was calculated for Cu Kα (λ = 1.5418 Å).
Peak positions follow from Bragg's law for the DFT cell and can differ from measured ones.

The 10 most intense peaks (10 to 80 degrees two-theta), in order of rising 2θ:
| d [Å] | Rel. int. |
| --- | --- |
| 4.059 | 13 |
| 3.876 | 6 |
| 2.870 | 5 |
| 2.803 | 9 |
| 2.307 | 100 |
| 2.030 | 34 |
| 1.938 | 15 |
| 1.435 | 11 |
| 1.402 | 20 |
| 1.219 | 25 |

a = 4.0592 Å, b = 4.0592 Å, c = 3.8757 Å
α = 90.00°, β = 90.00°, γ = 90.00°
Element x y z (fractional)
Mg 0.0000 0.0000 0.0000
H 0.5000 0.5000 0.5000
Pd 0.0000 0.5000 0.5000
Pd 0.5000 0.0000 0.5000
Rh 0.5000 0.5000 0.0000

***

(6)
Starting from a PBE-relaxed structure, the powder diffraction line list of MgH6Pt4 was calculated for Cu Kα (λ = 1.5418 Å).
Peak positions follow from Bragg's law for the DFT cell and can differ from measured ones.

The 10 most intense peaks (10 to 80 degrees two-theta), in order of rising 2θ:
| d [Å] | Rel. int. |
| --- | --- |
| 5.152 | 69 |
| 4.159 | 27 |
| 3.391 | 100 |
| 2.533 | 68 |
| 2.392 | 27 |
| 2.293 | 66 |
| 2.239 | 50 |
| 2.195 | 49 |
| 2.175 | 45 |
| 2.165 | 45 |

a = 4.7911 Å, b = 5.1259 Å, c = 5.1766 Å
α = 84.95°, β = 89.94°, γ = 65.34°
Element x y z (fractional)
Mg 0.0000 0.0000 0.0000
H 0.0301 0.4315 0.7052
H 0.2165 0.0073 0.5162
H 0.3451 0.1858 0.0563
H 0.5027 0.4472 0.7242
H 0.6057 0.7148 0.9995
H 0.7411 0.9878 0.5498
Pt 0.1421 0.6876 0.5504
Pt 0.4561 0.4625 0.0666
Pt 0.5701 0.8918 0.2791
Pt 0.8338 0.3060 0.5073

***

(7)
Starting from a PBE-relaxed structure, the powder diffraction line list of MgH4Pt was calculated for Cu Kα (λ = 1.5418 Å).
Peak positions follow from Bragg's law for the DFT cell and can differ from measured ones.

The 10 most intense peaks (10 to 80 degrees two-theta), in order of rising 2θ:
| d [Å] | Rel. int. |
| --- | --- |
| 5.460 | 30 |
| 4.170 | 100 |
| 3.593 | 26 |
| 3.301 | 54 |
| 2.630 | 46 |
| 2.548 | 16 |
| 2.280 | 24 |
| 2.173 | 27 |
| 2.162 | 24 |
| 2.127 | 30 |

a = 5.9705 Å, b = 5.9705 Å, c = 4.4379 Å
α = 98.33°, β = 98.33°, γ = 132.26°
Element x y z (fractional)
Mg 0.1338 0.8662 0.5000
Mg 0.8662 0.1338 0.0000
H 0.1328 0.8982 0.0192
H 0.2988 0.3506 0.2317
H 0.3506 0.2988 0.7317
H 0.3753 0.7464 0.6084
H 0.4079 0.7752 0.0865
H 0.7464 0.3753 0.1084
H 0.7752 0.4079 0.5865
H 0.8982 0.1328 0.5192
Pt 0.5711 0.7411 0.3749
Pt 0.7411 0.5711 0.8749

***

(8)
Starting from a PBE-relaxed structure, the powder diffraction line list of Mg2H4Pt was calculated for Cu Kα (λ = 1.5418 Å).
Peak positions follow from Bragg's law for the DFT cell and can differ from measured ones.

The 10 most intense peaks (10 to 80 degrees two-theta), in order of rising 2θ:
| d [Å] | Rel. int. |
| --- | --- |
| 5.486 | 61 |
| 3.469 | 65 |
| 2.586 | 100 |
| 2.339 | 27 |
| 1.882 | 29 |
| 1.829 | 18 |
| 1.735 | 12 |
| 1.618 | 15 |
| 1.493 | 36 |
| 1.311 | 12 |

a = 3.6570 Å, b = 3.6570 Å, c = 10.9721 Å
α = 90.00°, β = 90.00°, γ = 90.00°
Element x y z (fractional)
Mg 0.0000 0.0000 0.1442
Mg 0.0000 0.0000 0.8558
Mg 0.5000 0.5000 0.3558
Mg 0.5000 0.5000 0.6442
H 0.0000 0.0000 0.3330
H 0.0000 0.0000 0.6670
H 0.0000 0.5000 0.0000
H 0.0000 0.5000 0.5000
H 0.5000 0.0000 0.0000
H 0.5000 0.0000 0.5000
H 0.5000 0.5000 0.1670
H 0.5000 0.5000 0.8330
Pt 0.0000 0.0000 0.5000
Pt 0.5000 0.5000 0.0000

***

(9)
Starting from a PBE-relaxed structure, the powder diffraction line list of Mg2HPt3 was calculated for Cu Kα (λ = 1.5418 Å).
Peak positions follow from Bragg's law for the DFT cell and can differ from measured ones.

The 10 most intense peaks (10 to 80 degrees two-theta), in order of rising 2θ:
| d [Å] | Rel. int. |
| --- | --- |
| 4.261 | 33 |
| 3.537 | 83 |
| 3.498 | 31 |
| 2.273 | 100 |
| 2.139 | 24 |
| 2.131 | 74 |
| 1.749 | 34 |
| 1.568 | 25 |
| 1.343 | 20 |
| 1.256 | 24 |

a = 4.7047 Å, b = 4.7047 Å, c = 4.7047 Å
α = 69.64°, β = 69.64°, γ = 69.64°
Element x y z (fractional)
Mg 0.1258 0.1258 0.1258
Mg 0.8742 0.8742 0.8742
H 0.5000 0.5000 0.5000
Pt 0.0000 0.5000 0.5000
Pt 0.5000 0.0000 0.5000
Pt 0.5000 0.5000 0.0000

***

(10)
Starting from a PBE-relaxed structure, the powder diffraction line list of MgH4Pt4 was calculated for Cu Kα (λ = 1.5418 Å).
Peak positions follow from Bragg's law for the DFT cell and can differ from measured ones.

The 10 most intense peaks (10 to 80 degrees two-theta), in order of rising 2θ:
| d [Å] | Rel. int. |
| --- | --- |
| 4.034 | 19 |
| 3.928 | 56 |
| 3.716 | 24 |
| 2.394 | 100 |
| 2.265 | 28 |
| 2.220 | 34 |
| 2.167 | 29 |
| 2.081 | 28 |
| 1.999 | 22 |
| 1.926 | 30 |

a = 4.9236 Å, b = 4.9236 Å, c = 8.6854 Å
α = 119.70°, β = 119.70°, γ = 33.56°
Element x y z (fractional)
Mg 0.0000 0.0000 0.0000
H 0.1629 0.1629 0.5086
H 0.4066 0.4066 0.3101
H 0.5934 0.5934 0.6899
H 0.8371 0.8371 0.4914
Pt 0.1939 0.1939 0.8396
Pt 0.3796 0.3796 0.6593
Pt 0.6204 0.6204 0.3407
Pt 0.8061 0.8061 0.1604

***

(11)
Starting from a PBE-relaxed structure, the powder diffraction line list of Mg2H7Pt2 was calculated for Cu Kα (λ = 1.5418 Å).
Peak positions follow from Bragg's law for the DFT cell and can differ from measured ones.

The 10 most intense peaks (10 to 80 degrees two-theta), in order of rising 2θ:
| d [Å] | Rel. int. |
| --- | --- |
| 4.457 | 86 |
| 3.681 | 60 |
| 3.101 | 37 |
| 3.008 | 50 |
| 2.838 | 100 |
| 2.372 | 59 |
| 2.329 | 28 |
| 2.247 | 27 |
| 2.227 | 34 |
| 1.918 | 20 |

a = 4.9132 Å, b = 4.9132 Å, c = 4.6764 Å
α = 101.56°, β = 101.56°, γ = 97.06°
Element x y z (fractional)
Mg 0.2264 0.7736 0.0000
Mg 0.7736 0.2264 0.0000
H 0.0868 0.3869 0.8008
H 0.1771 0.1771 0.1637
H 0.3869 0.0868 0.8008
H 0.5000 0.5000 0.5000
H 0.6131 0.9132 0.1992
H 0.8229 0.8229 0.8363
H 0.9132 0.6131 0.1992
Pt 0.2299 0.2299 0.5325
Pt 0.7701 0.7701 0.4675

***

(12)
Starting from a PBE-relaxed structure, the powder diffraction line list of PuMgH8Pt2 was calculated for Cu Kα (λ = 1.5418 Å).
Peak positions follow from Bragg's law for the DFT cell and can differ from measured ones.

The 10 most intense peaks (10 to 80 degrees two-theta), in order of rising 2θ:
| d [Å] | Rel. int. |
| --- | --- |
| 4.071 | 33 |
| 3.006 | 100 |
| 2.665 | 28 |
| 2.419 | 61 |
| 1.919 | 28 |
| 1.884 | 27 |
| 1.503 | 27 |
| 1.487 | 25 |
| 1.396 | 11 |
| 1.277 | 12 |

a = 6.3974 Å, b = 6.3974 Å, c = 6.3974 Å
α = 44.43°, β = 44.43°, γ = 44.43°
Element x y z (fractional)
Pu 0.0000 0.0000 0.0000
Mg 0.5000 0.5000 0.5000
H 0.1023 0.7999 0.4024
H 0.2001 0.5976 0.8977
H 0.3283 0.3283 0.3283
H 0.4024 0.1023 0.7999
H 0.5976 0.8977 0.2001
H 0.6717 0.6717 0.6717
H 0.7999 0.4024 0.1023
H 0.8977 0.2001 0.5976
Pt 0.2349 0.2349 0.2349
Pt 0.7651 0.7651 0.7651

***

(13)
Starting from a PBE-relaxed structure, the powder diffraction line list of Mg2H6RuPt was calculated for Cu Kα (λ = 1.5418 Å).
Peak positions follow from Bragg's law for the DFT cell and can differ from measured ones.

The 10 most intense peaks (10 to 80 degrees two-theta), in order of rising 2θ:
| d [Å] | Rel. int. |
| --- | --- |
| 4.050 | 78 |
| 3.770 | 87 |
| 3.192 | 39 |
| 2.715 | 42 |
| 2.437 | 100 |
| 2.252 | 17 |
| 2.216 | 35 |
| 2.210 | 37 |
| 2.068 | 29 |
| 1.580 | 18 |

a = 4.9368 Å, b = 4.9370 Å, c = 4.9435 Å
α = 113.32°, β = 115.95°, γ = 99.42°
Element x y z (fractional)
Mg 0.0000 0.0000 0.0000
Mg 0.4692 0.4661 0.0012
H 0.1001 0.4924 0.1241
H 0.1109 0.5944 0.6776
H 0.5185 0.1765 0.2278
H 0.5501 0.0372 0.6754
H 0.5862 0.5514 0.6694
H 0.8199 0.9959 0.3452
Ru 0.7971 0.3267 0.6543
Pt 0.1014 0.8308 0.4653

***

(14)
Starting from a PBE-relaxed structure, the powder diffraction line list of Rb4MgH5 was calculated for Cu Kα (λ = 1.5418 Å).
Peak positions follow from Bragg's law for the DFT cell and can differ from measured ones.

The 10 most intense peaks (10 to 80 degrees two-theta), in order of rising 2θ:
| d [Å] | Rel. int. |
| --- | --- |
| 4.608 | 12 |
| 3.353 | 100 |
| 2.914 | 34 |
| 2.883 | 17 |
| 2.061 | 10 |
| 2.049 | 23 |
| 1.756 | 23 |
| 1.742 | 14 |
| 1.676 | 10 |
| 1.330 | 9 |

a = 7.1256 Å, b = 7.1256 Å, c = 7.1256 Å
α = 99.42°, β = 99.42°, γ = 132.28°
Element x y z (fractional)
Rb 0.1233 0.2880 0.4113
Rb 0.2880 0.8767 0.1647
Rb 0.7120 0.1233 0.8353
Rb 0.8767 0.7120 0.5887
Mg 0.5496 0.5496 0.0000
H 0.2867 0.5584 0.8577
H 0.4290 0.2867 0.7283
H 0.5584 0.7008 0.2717
H 0.7008 0.4290 0.1423
H 0.8882 0.8882 0.0000